EuNb8O14: calculated PXRD pattern (CuKα), based on a crystal structure in the Materials Project, relaxed with PBE.
Peak positions follow from Bragg's law for the DFT cell and can differ from measured ones.

Structural model:
```
data_EuNb8O14
_chemical_formula_sum 'Eu2 Nb16 O28'
_cell_length_a 9.330
_cell_length_b 10.417
_cell_length_c 6.023
_cell_angle_alpha 90.00
_cell_angle_beta 90.00
_cell_angle_gamma 90.00
_space_group_name_H-M_alt 'P 1'
_space_group_IT_number 1
loop_
_space_group_symop_operation_xyz
'x,y,z'
loop_
_atom_site_label
_atom_site_fract_x
_atom_site_fract_y
_atom_site_fract_z
Eu1 0.000 0.000 0.000
Eu2 0.500 0.500 0.000
Nb1 0.115 0.164 0.500
Nb2 0.120 0.664 0.000
Nb3 0.126 0.423 0.232
Nb4 0.126 0.423 0.768
Nb5 0.374 0.923 0.232
Nb6 0.374 0.923 0.768
Nb7 0.380 0.164 0.000
Nb8 0.385 0.664 0.500
Nb9 0.615 0.336 0.500
Nb10 0.620 0.836 0.000
Nb11 0.626 0.077 0.232
Nb12 0.626 0.077 0.768
Nb13 0.874 0.577 0.232
Nb14 0.874 0.577 0.768
Nb15 0.880 0.336 0.000
Nb16 0.885 0.836 0.500
O1 0.000 0.000 0.500
O2 0.000 0.500 0.500
O3 0.004 0.247 0.246
O4 0.004 0.247 0.754
O5 0.234 0.850 0.000
O6 0.235 0.320 0.500
O7 0.237 0.085 0.244
O8 0.237 0.085 0.756
O9 0.263 0.585 0.244
O10 0.263 0.585 0.756
O11 0.265 0.820 0.500
O12 0.266 0.350 0.000
O13 0.496 0.747 0.246
O14 0.496 0.747 0.754
O15 0.500 0.000 0.500
O16 0.500 0.500 0.500
O17 0.504 0.253 0.246
O18 0.504 0.253 0.754
O19 0.734 0.650 0.000
O20 0.735 0.180 0.500
O21 0.737 0.415 0.244
O22 0.737 0.415 0.756
O23 0.763 0.915 0.244
O24 0.763 0.915 0.756
O25 0.765 0.680 0.500
O26 0.766 0.150 0.000
O27 0.996 0.753 0.246
O28 0.996 0.753 0.754
```

Most intense lines, 2θ from 5° to 70°, sorted by position:
- hkl 2 1 1, 25.6°, rel. 98
- hkl 3 1 0, 30.0°, rel. 47
- hkl 1 3 1, 31.2°, rel. 100
- hkl 1 1 2, 32.4°, rel. 73
- hkl 3 1 1, 33.6°, rel. 39
- hkl 1 4 0, 35.8°, rel. 66
- hkl 3 4 0, 45.4°, rel. 100
- hkl 2 1 3, 50.3°, rel. 45
- hkl 4 2 2, 52.7°, rel. 61
- hkl 0 6 2, 61.6°, rel. 71